# Cs2Tl5Sn2
Simulated powder XRD pattern, Cu Kα (λ = 1.5418 Å). Input: a cell relaxed with GGA-PBE.
Peak positions follow from Bragg's law for the DFT cell and can differ from measured ones.

Structure:
Cell: 13.222 13.222 13.222 Å, 53.98 132.71 155.47°
Positions (direct):
Cs  0.104  0.142  0.246
Cs  0.104  0.358  0.462
Cs  0.896  0.642  0.538
Cs  0.896  0.858  0.754
Tl  0.166  0.524  0.678
Tl  0.166  0.750  0.917
Tl  0.166  0.988  0.142
Tl  0.348  0.627  0.974
Tl  0.348  0.874  0.221
Tl  0.653  0.127  0.779
Tl  0.653  0.374  0.026
Tl  0.833  0.250  0.083
Tl  0.846  0.024  0.858
Tl  0.846  0.488  0.322
Sn  0.469  0.750  0.219
Sn  0.506  0.006  0.500
Sn  0.506  0.506  0.000
Sn  0.531  0.250  0.781

Largest 10 diffraction maxima, in order of rising 2θ, 2θ from 10° to 80°:
2theta	I/Imax
23.4	21.0
25.7	24.6
29.9	99.0
30.3	45.0
31.9	55.9
33.6	100.0
35.4	24.9
44.6	31.8
56.0	35.6
57.9	21.8



# Cs3Tl3Sn2
Simulated powder XRD pattern, Cu Kα (λ = 1.5418 Å). Input: a cell relaxed with GGA-PBE.
Peak positions follow from Bragg's law for the DFT cell and can differ from measured ones.

Structure:
Cell: 7.714 7.714 18.356 Å, 90.00 90.00 139.85°
Positions (direct):
Cs  0.064  0.936  0.605
Cs  0.064  0.936  0.895
Cs  0.383  0.617  0.750
Cs  0.617  0.383  0.250
Cs  0.936  0.064  0.105
Cs  0.936  0.064  0.395
Tl  0.325  0.675  0.250
Tl  0.346  0.654  0.533
Tl  0.346  0.654  0.967
Tl  0.654  0.346  0.033
Tl  0.654  0.346  0.467
Tl  0.675  0.325  0.750
Sn  0.222  0.778  0.106
Sn  0.222  0.778  0.394
Sn  0.778  0.222  0.606
Sn  0.778  0.222  0.894

Largest 10 diffraction maxima, in order of rising 2θ, 2θ from 10° to 80°:
2theta	I/Imax
12.2	36.0
25.0	66.8
25.4	59.9
26.4	100.0
28.6	66.6
31.8	58.3
33.9	58.0
38.8	34.7
44.9	43.7
47.1	29.0



# CsZnSn
Simulated powder XRD pattern, Cu Kα (λ = 1.5418 Å). Input: a cell relaxed with GGA-PBE.
Peak positions follow from Bragg's law for the DFT cell and can differ from measured ones.

Structure:
Cell: 4.344 4.747 6.963 Å, 73.38 73.00 62.90°
Positions (direct):
Cs  0.000  0.000  0.000
Zn  0.801  0.818  0.555
Sn  0.501  0.460  0.511

Largest 10 diffraction maxima, in order of rising 2θ, 2θ from 10° to 80°:
2theta	I/Imax
23.2	62.0
24.5	58.9
24.8	61.0
27.2	100.0
27.4	59.3
29.3	57.9
29.9	52.9
38.0	43.3
38.1	42.2
41.6	34.2